Diffraction record for Li3Co4O8. The powder X-ray diffraction pattern is simulated, not measured: it uses DFT lattice parameters and positions (GGA+U) and Cu Kα X-rays.

Largest 10 diffraction maxima, low angle first, 2θ = 5–70°:
(hkl)	d [Å]	2θ/deg	I/Imax
0 0 2	4.907	18.1	1000
0 2 0	2.500	35.9	132
2 2 2	2.454	36.6	284
2 2 0	2.361	38.1	78
0 2 -2	2.094	43.2	214
2 2 4	2.059	44.0	405
2 2 6	1.604	57.5	95
2 0 6	1.483	62.6	168
2 4 2	1.454	64.0	111
4 2 2	1.429	65.3	53

Crystal structure
Unit cell a=5.7170 b=5.8143 c=10.3481 alpha=74.25 beta=74.01 gamma=60.64
Space group P-1 (No. 2)
Symmetry-distinct sites (fractional):
Li  0.2463  0.2507  0.2555
Li  0.2467  0.2566  0.7476
Li  0.2503  0.7449  0.2518
Co  0.0000  0.0000  0.0000
Co  0.0000  0.0000  0.5000
Co  0.0000  0.5000  0.0000
Co  0.0000  0.5000  0.5000
Co  0.5000  0.0000  0.0000
Co  0.5000  0.0000  0.5000
Co  0.5000  0.5000  0.0000
Co  0.5000  0.5000  0.5000
O  0.1223  0.1460  0.6086
O  0.1249  0.6253  0.6089
O  0.1402  0.6066  0.1154
O  0.1426  0.1160  0.1044
O  0.3589  0.3743  0.3912
O  0.3647  0.8847  0.8963
O  0.3716  0.8705  0.3866
O  0.3833  0.3396  0.8924

Diffraction record for Li2CoO3. The powder X-ray diffraction pattern is simulated, not measured: it uses DFT lattice parameters and positions (GGA+U) and Cu Kα X-rays.

Largest 10 diffraction maxima, low angle first, 2θ = 5–70°:
(hkl)	d [Å]	2θ/deg	I/Imax
0 1 0	4.783	18.6	1000
0 0 2	4.230	21.0	235
1 0 -1	4.147	21.4	144
1 0 1	4.103	21.7	161
1 -1 1	3.768	23.6	237
2 -1 0	2.510	35.8	152
1 0 -3	2.434	36.9	143
2 -2 0	2.105	43.0	350
1 1 -3	2.029	44.7	304
1 1 3	2.000	45.3	285

Crystal structure
Unit cell a=5.0690 b=5.1317 c=8.4608 alpha=90.41 beta=90.52 gamma=111.24
Space group P-1 (No. 2)
Symmetry-distinct sites (fractional):
Li  0.2458  0.0030  0.0847
Li  0.2498  0.4940  0.2487
Li  0.2502  0.9994  0.4105
Li  0.2521  0.9990  0.7523
Co  0.2485  0.5100  0.9207
Co  0.2530  0.5030  0.5781
O  0.0084  0.7211  0.5678
O  0.0125  0.2687  0.0699
O  0.0465  0.2841  0.7513
O  0.4703  0.7317  0.7465
O  0.4785  0.7319  0.0678
O  0.4956  0.2830  0.5696

Diffraction record for LiCo2O4. The powder X-ray diffraction pattern is simulated, not measured: it uses DFT lattice parameters and positions (GGA+U) and Cu Kα X-rays.

Largest 10 diffraction maxima, low angle first, 2θ = 5–70°:
(hkl)	d [Å]	2θ/deg	I/Imax
2 0 0	4.909	18.1	1000
1 1 -1	2.475	36.3	217
0 0 2	2.455	36.6	161
1 1 1	2.354	38.2	64
3 1 -1	2.090	43.3	359
2 0 2	2.034	44.5	168
3 1 1	1.888	48.2	63
5 1 -1	1.627	56.6	100
5 1 1	1.468	63.3	84
1 1 -3	1.447	64.4	93

Crystal structure
Unit cell a=10.0366 b=2.8869 c=5.0198 alpha=90.00 beta=101.96 gamma=90.00
Space group Cm (No. 8)
Symmetry-distinct sites (fractional):
Li  0.0000  0.0000  0.0000
Co  0.2456  0.0000  0.7362
Co  0.2623  0.5000  0.2490
O  0.1466  0.5000  0.8602
O  0.1517  0.0000  0.3694
O  0.3510  0.5000  0.6386
O  0.3611  0.0000  0.0840

Diffraction record for Li10Co4O9. The powder X-ray diffraction pattern is simulated, not measured: it uses DFT lattice parameters and positions (GGA+U) and Cu Kα X-rays.

Largest 10 diffraction maxima, low angle first, 2θ = 5–70°:
(hkl)	d [Å]	2θ/deg	I/Imax
1 0 -1	6.145	14.4	392
1 -1 1	5.057	17.5	1000
1 1 0	3.750	23.7	330
2 -1 0	3.675	24.2	405
0 2 -1	3.331	26.8	450
-2 1 2	3.311	26.9	491
1 0 -3	3.198	27.9	295
-1 1 3	2.984	29.9	747
2 1 -3	2.251	40.1	276
2 1 1	2.206	40.9	310

Crystal structure
Unit cell a=7.5787 b=7.7533 c=9.8103 alpha=91.42 beta=103.94 gamma=119.02
Space group P-1 (No. 2)
Symmetry-distinct sites (fractional):
Li  0.0054  0.1094  0.4013
Li  0.0111  0.4263  0.8770
Li  0.1009  0.8358  0.3496
Li  0.1511  0.5808  0.6274
Li  0.2612  0.9684  0.1281
Li  0.3070  0.3459  0.6290
Li  0.3496  0.8791  0.8937
Li  0.3638  0.6851  0.1156
Li  0.3696  0.2116  0.3578
Li  0.4592  0.6326  0.8436
Co  0.0899  0.2550  0.1341
Co  0.2121  0.1930  0.8705
Co  0.2579  0.5391  0.3585
Co  0.4297  0.0284  0.6318
O  0.0774  0.0330  0.2164
O  0.1100  0.3914  0.4719
O  0.1157  0.7067  0.9721
O  0.1844  0.3870  0.7789
O  0.2364  0.0773  0.5183
O  0.2766  0.7622  0.2744
O  0.3802  0.4546  0.2418
O  0.4210  0.1589  0.9786
O  0.4271  0.8218  0.7212

Diffraction record for LiCo2O4. The powder X-ray diffraction pattern is simulated, not measured: it uses DFT lattice parameters and positions (GGA+U) and Cu Kα X-rays.

Largest 10 diffraction maxima, low angle first, 2θ = 5–70°:
(hkl)	d [Å]	2θ/deg	I/Imax
2 0 0	4.967	17.9	1000
0 2 1	2.447	36.7	217
2 0 -2	2.200	41.0	177
2 2 1	2.193	41.2	306
4 0 -2	1.747	52.4	158
4 2 1	1.741	52.6	208
0 2 3	1.413	66.1	80
6 2 -1	1.373	68.3	55
6 0 2	1.369	68.5	56
2 4 0	1.358	69.2	78

Crystal structure
Unit cell a=9.9349 b=5.6501 c=4.8966 alpha=90.00 beta=90.28 gamma=90.00
Space group C2/c (No. 15)
Symmetry-distinct sites (fractional):
Li  0.0000  0.1495  0.2500
Co  0.2423  0.3740  0.7544
O  0.1507  0.3667  0.0929
O  0.1524  0.1169  0.5728

Diffraction record for LiCo2O4. The powder X-ray diffraction pattern is simulated, not measured: it uses DFT lattice parameters and positions (GGA+U) and Cu Kα X-rays.

Largest 10 diffraction maxima, low angle first, 2θ = 5–70°:
(hkl)	d [Å]	2θ/deg	I/Imax
0 0 1	5.329	16.6	1000
0 0 2	2.664	33.6	49
1 -1 0	2.514	35.7	98
0 2 0	2.503	35.9	96
1 1 -1	2.429	37.0	85
1 -1 1	2.151	42.0	252
1 1 -2	2.081	43.5	112
1 -1 2	1.705	53.7	112
1 1 -3	1.660	55.4	52
1 1 2	1.566	59.0	64

Crystal structure
Unit cell a=2.8829 b=5.0621 c=5.5477 alpha=97.54 beta=103.91 gamma=92.07
Space group P1 (No. 1)
Symmetry-distinct sites (fractional):
Li  0.0000  0.0000  0.0000
Co  0.2829  0.4147  0.5658
Co  0.7784  0.9089  0.5380
O  0.1912  0.0295  0.3563
O  0.3709  0.8037  0.7440
O  0.6777  0.5613  0.3764
O  0.8849  0.2458  0.7430

Repeat the first record exactly.
Diffraction record for Li3Co4O8. The powder X-ray diffraction pattern is simulated, not measured: it uses DFT lattice parameters and positions (GGA+U) and Cu Kα X-rays.

Largest 10 diffraction maxima, low angle first, 2θ = 5–70°:
(hkl)	d [Å]	2θ/deg	I/Imax
0 0 2	4.907	18.1	1000
0 2 0	2.500	35.9	132
2 2 2	2.454	36.6	284
2 2 0	2.361	38.1	78
0 2 -2	2.094	43.2	214
2 2 4	2.059	44.0	405
2 2 6	1.604	57.5	95
2 0 6	1.483	62.6	168
2 4 2	1.454	64.0	111
4 2 2	1.429	65.3	53

Crystal structure
Unit cell a=5.7170 b=5.8143 c=10.3481 alpha=74.25 beta=74.01 gamma=60.64
Space group P-1 (No. 2)
Symmetry-distinct sites (fractional):
Li  0.2463  0.2507  0.2555
Li  0.2467  0.2566  0.7476
Li  0.2503  0.7449  0.2518
Co  0.0000  0.0000  0.0000
Co  0.0000  0.0000  0.5000
Co  0.0000  0.5000  0.0000
Co  0.0000  0.5000  0.5000
Co  0.5000  0.0000  0.0000
Co  0.5000  0.0000  0.5000
Co  0.5000  0.5000  0.0000
Co  0.5000  0.5000  0.5000
O  0.1223  0.1460  0.6086
O  0.1249  0.6253  0.6089
O  0.1402  0.6066  0.1154
O  0.1426  0.1160  0.1044
O  0.3589  0.3743  0.3912
O  0.3647  0.8847  0.8963
O  0.3716  0.8705  0.3866
O  0.3833  0.3396  0.8924

What is the formula in the first record?
Li3Co4O8